Starting from DFT lattice parameters and positions (GGA-PBE), the X-ray diffraction stick pattern of K3Pr3GaS8 was calculated for CuKα.

Peak list (8 most intense, 2θ = 15–90°, low angle first)
3.517 Å, 2θ 25.3, intensity 24; 3.395 Å, 2θ 26.3, intensity 25; 3.010 Å, 2θ 29.7, intensity 100; 2.389 Å, 2θ 37.7, intensity 22; 2.210 Å, 2θ 40.8, intensity 33; 2.055 Å, 2θ 44.1, intensity 33; 1.983 Å, 2θ 45.8, intensity 17; 1.697 Å, 2θ 54.0, intensity 16

Atomic structure:
a b c (Å): 8.8910 8.8910 8.8910
angles (deg): 55.08 55.08 55.08
Atoms (fractional coordinates):
K 0.0000 0.5000 0.5000
K 0.5000 0.0000 0.5000
K 0.5000 0.5000 0.0000
Pr 0.0000 0.0000 0.5000
Pr 0.0000 0.5000 0.0000
Pr 0.5000 0.0000 0.0000
Ga 0.5000 0.5000 0.5000
S 0.2367 0.2367 0.2367
S 0.2639 0.7131 0.7131
S 0.2869 0.2869 0.7361
S 0.2869 0.7361 0.2869
S 0.7131 0.2639 0.7131
S 0.7131 0.7131 0.2639
S 0.7361 0.2869 0.2869
S 0.7633 0.7633 0.7633